For Si2HgSe4, the GGA-PBE geometry in Alexandria gives the computed powder diffractogram in this record (CuKα).
Lines closer than 0.1° are merged.

Largest 12 diffraction maxima, by intensity, 10° ≤ 2θ ≤ 80°:
Position (°2θ), intensity, (hkl)
26.6, 100, 1 2 1
43.9, 41, 3 1 2
52.7, 27, 4 3 1
31.2, 24, 3 1 0
19.6, 24, 2 0 0
51.5, 16, 1 2 3
17.9, 14, 1 0 1
30.2, 14, 0 0 2
44.6, 12, 2 4 0
70.5, 9, 4 3 3
54.8, 8, 2 4 2
38.9, 6, 3 2 1

Structure:
Lattice parameters (Å, degrees): 9.079 9.079 5.917 90.00 90.00 90.00
Space group I4/m (No. 87)
Inequivalent atoms, fractional coordinates:
Si1 0.000 0.500 0.250 [4 per cell]
Hg1 0.000 0.000 0.000 [2 per cell]
Se1 0.077 0.679 0.500 [8 per cell]



For PrSm4Bi3, the GGA-PBE geometry in Alexandria gives the computed powder diffractogram in this record (CuKα).
Lines closer than 0.1° are merged.

Largest 12 diffraction maxima, by intensity, 10° ≤ 2θ ≤ 80°:
Position (°2θ), intensity, (hkl)
26.8, 100, 1 1 2
35.0, 68, 1 2 3
30.4, 60, 1 2 1
31.6, 49, 0 2 4
34.2, 46, 1 1 4
35.6, 42, 0 3 3
44.1, 34, 2 0 0
62.6, 31, 1 5 4
63.7, 31, 1 3 8
39.6, 30, 1 3 2
37.5, 27, 1 0 5
20.7, 24, 0 1 3

Structure:
Lattice parameters (Å, degrees): 4.107 8.814 14.764 90.00 90.00 90.00
Space group Immm (No. 71)
Inequivalent atoms, fractional coordinates:
Pr1 0.000 0.000 0.000 [2 per cell]
Sm1 0.000 0.297 0.133 [8 per cell]
Bi1 0.000 0.000 0.500 [2 per cell]
Bi2 0.000 0.500 0.319 [4 per cell]



For BePtO, the GGA-PBE geometry in Alexandria gives the computed powder diffractogram in this record (CuKα).
Lines closer than 0.1° are merged.

Largest 12 diffraction maxima, by intensity, 10° ≤ 2θ ≤ 80°:
Position (°2θ), intensity, (hkl)
40.3, 100, 0 1 -1
46.0, 62, 1 0 3
38.3, 57, 1 1 1
41.4, 48, 1 0 2
37.5, 47, 0 0 4
27.9, 36, 0 0 3
44.3, 36, 1 1 3
52.2, 26, 1 1 -3
69.0, 24, 2 1 1
65.2, 18, 1 0 -5
69.8, 16, 2 1 0
57.0, 11, 1 0 -4

Structure:
Lattice parameters (Å, degrees): 2.721 2.721 9.718 82.08 82.02 60.01
Space group P1 (No. 1)
Inequivalent atoms, fractional coordinates:
Be1 0.000 0.000 0.000 [1 per cell]
Be2 0.256 0.258 0.235 [1 per cell]
Pt1 0.509 0.507 0.473 [1 per cell]
Pt2 0.759 0.757 0.724 [1 per cell]
O1 0.682 0.682 0.954 [1 per cell]
O2 0.940 0.942 0.180 [1 per cell]



For Zr4N2O5, the GGA-PBE geometry in Alexandria gives the computed powder diffractogram in this record (CuKα).
Lines closer than 0.1° are merged.

Largest 12 diffraction maxima, by intensity, 10° ≤ 2θ ≤ 80°:
Position (°2θ), intensity, (hkl)
30.1, 100, 2 2 2
50.3, 29, 4 0 4
59.5, 17, 6 2 2
34.8, 15, 4 0 0
50.0, 14, 4 4 0
60.1, 10, 2 2 6
35.2, 9, 0 0 4
21.1, 7, 2 1 1
37.0, 5, 4 1 1
41.3, 5, 3 2 3
62.6, 4, 4 4 4
44.8, 4, 4 3 1

Structure:
Lattice parameters (Å, degrees): 10.316 10.316 10.193 90.00 90.00 90.00
Space group I4cm (No. 108)
Inequivalent atoms, fractional coordinates:
Zr1 0.000 0.000 0.000 [4 per cell]
Zr2 0.000 0.500 0.464 [4 per cell]
Zr3 0.031 0.244 0.248 [16 per cell]
Zr4 0.228 0.272 0.975 [8 per cell]
N1 0.110 0.390 0.108 [8 per cell]
N2 0.136 0.364 0.386 [8 per cell]
O1 0.104 0.137 0.873 [16 per cell]
O2 0.117 0.150 0.618 [16 per cell]
O3 0.122 0.378 0.819 [8 per cell]



Number 4 is which compound? Zr4N2O5